Record 1
Starting from DFT lattice parameters and positions (PBE), the powder diffraction line list of AcAg2SbSe4 was simulated for CuKα.
Kinematic intensities with the Lorentz-polarization factor, no thermal factor.

Cell lengths 7.327, 7.447, 8.024 Å; angles 90.00, 90.00, 90.00 degrees
Space group I222 (No. 23)
Unique sites:
Ac 0.000 0.000 0.000
Ag 0.000 0.500 0.182
Sb 0.000 0.000 0.500
Se 0.225 0.219 0.306

The 6 most intense peaks (10 to 90 degrees two-theta), in order of rising 2θ:
h k l  2θ (°)  d [Å]  I (rel.)
1 1 2  28.05  3.182  100
0 2 2  32.82  2.729  21
2 0 2  33.11  2.705  21
2 2 0  34.34  2.611  77
1 3 2  44.68  2.028  30
3 1 2  45.14  2.008  33

***

Record 2
Starting from DFT lattice parameters and positions (PBE), the powder diffraction line list of AcAg2SbTe4 was simulated for CuKα.
Kinematic intensities with the Lorentz-polarization factor, no thermal factor.

Cell lengths 7.816, 7.961, 8.368 Å; angles 90.00, 90.00, 90.00 degrees
Space group I222 (No. 23)
Unique sites:
Ac 0.000 0.000 0.000
Ag 0.000 0.500 0.174
Sb 0.000 0.000 0.500
Te 0.229 0.220 0.302

The 6 most intense peaks (10 to 90 degrees two-theta), in order of rising 2θ:
h k l  2θ (°)  d [Å]  I (rel.)
1 1 2  26.63  3.347  94
0 2 2  31.01  2.884  36
2 0 2  31.32  2.856  36
2 2 0  32.10  2.789  100
1 3 2  41.94  2.154  29
3 1 2  42.42  2.131  29

***

Record 3
Starting from DFT lattice parameters and positions (PBE), the powder diffraction line list of Ac4AgSe5 was simulated for CuKα.
Kinematic intensities with the Lorentz-polarization factor, no thermal factor.

Cell lengths 4.4892, 4.4892, 51.8255 Å; angles 90.00, 90.00, 120.00 degrees
Space group R-3m (No. 166, hexagonal axes)
Unique sites:
Ac 0.0000 0.0000 0.1053
Ac 0.0000 0.0000 0.2987
Ag 0.0000 0.0000 0.5000
Se 0.0000 0.0000 0.0000
Se 0.0000 0.0000 0.1951
Se 0.0000 0.0000 0.4035

The 6 most intense peaks (10 to 90 degrees two-theta), in order of rising 2θ:
h k l  2θ (°)  d [Å]  I (rel.)
0 1 5  24.45  3.640  27
1 0 10  28.71  3.110  100
1 1 0  40.18  2.245  43
0 1 20  41.90  2.156  31
0 2 10  50.12  1.820  22
2 1 10  66.09  1.414  19

***

Record 4
Starting from DFT lattice parameters and positions (PBE), the powder diffraction line list of Ac3Ag2Se6 was simulated for CuKα.
Kinematic intensities with the Lorentz-polarization factor, no thermal factor.

Cell lengths 5.053, 5.053, 24.302 Å; angles 90.00, 90.00, 90.00 degrees
Space group I4/mmm (No. 139)
Unique sites:
Ac 0.000 0.000 0.000
Ac 0.000 0.000 0.175
Ag 0.000 0.000 0.438
Se 0.000 0.000 0.298
Se 0.000 0.500 0.083

The 6 most intense peaks (10 to 90 degrees two-theta), in order of rising 2θ:
h k l  2θ (°)  d [Å]  I (rel.)
1 1 0  24.92  3.573  70
1 0 5  25.43  3.503  52
1 0 7  31.26  2.861  61
1 1 6  33.44  2.679  89
2 0 0  35.53  2.526  100
2 0 12  58.41  1.580  38

***

Record 5
Starting from DFT lattice parameters and positions (PBE), the powder diffraction line list of AcSmAg2Se4 was simulated for CuKα.
Kinematic intensities with the Lorentz-polarization factor, no thermal factor.

Cell lengths 7.163, 7.364, 8.450 Å; angles 90.00, 90.00, 90.00 degrees
Space group I222 (No. 23)
Unique sites:
Ac 0.000 0.000 0.000
Sm 0.000 0.000 0.500
Ag 0.000 0.500 0.168
Se 0.228 0.232 0.316

The 6 most intense peaks (10 to 90 degrees two-theta), in order of rising 2θ:
h k l  2θ (°)  d [Å]  I (rel.)
1 1 2  27.34  3.262  100
0 2 2  32.25  2.776  25
2 2 0  34.95  2.567  74
1 3 2  44.52  2.035  27
3 1 2  45.33  2.000  26
1 1 4  46.49  1.954  27

***

Record 6
Starting from DFT lattice parameters and positions (PBE), the powder diffraction line list of SrAcAg2Se4 was simulated for CuKα.
Kinematic intensities with the Lorentz-polarization factor, no thermal factor.

Cell lengths 7.408, 7.408, 8.063 Å; angles 90.00, 90.00, 90.00 degrees
Space group Immm (No. 71)
Unique sites:
Sr 0.000 0.000 0.000
Ac 0.000 0.000 0.500
Ag 0.000 0.500 0.251
Se 0.250 0.250 0.250

The 6 most intense peaks (10 to 90 degrees two-theta), in order of rising 2θ:
h k l  2θ (°)  d [Å]  I (rel.)
1 1 2  27.93  3.195  100
2 0 2  32.84  2.728  37
2 2 0  34.24  2.619  75
3 1 2  44.74  2.025  55
4 0 0  49.20  1.852  26
2 2 4  57.71  1.597  33

***

Record 7
Starting from DFT lattice parameters and positions (PBE), the powder diffraction line list of AcAgTeSe was simulated for CuKα.
Kinematic intensities with the Lorentz-polarization factor, no thermal factor.

Cell lengths 4.9393, 4.9393, 36.2377 Å; angles 90.00, 90.00, 120.00 degrees
Space group R-3m (No. 166, hexagonal axes)
Unique sites:
Ac 0.0000 0.0000 0.1091
Ag 0.0000 0.0000 0.3019
Te 0.0000 0.0000 0.3839
Se 0.0000 0.0000 0.1971

The 6 most intense peaks (10 to 90 degrees two-theta), in order of rising 2θ:
h k l  2θ (°)  d [Å]  I (rel.)
1 0 4  22.99  3.868  84
1 0 10  32.38  2.765  92
1 1 0  36.38  2.470  100
1 1 12  47.56  1.912  31
0 2 10  49.49  1.842  28
2 1 10  62.95  1.477  28

***

Record 8
Starting from DFT lattice parameters and positions (PBE), the powder diffraction line list of AcYAg2Se4 was simulated for CuKα.
Kinematic intensities with the Lorentz-polarization factor, no thermal factor.

Cell lengths 7.122, 7.357, 8.429 Å; angles 90.00, 90.00, 90.00 degrees
Space group I222 (No. 23)
Unique sites:
Ac 0.000 0.000 0.000
Y 0.000 0.000 0.500
Ag 0.000 0.500 0.168
Se 0.221 0.227 0.318

The 6 most intense peaks (10 to 90 degrees two-theta), in order of rising 2θ:
h k l  2θ (°)  d [Å]  I (rel.)
1 0 1  16.29  5.440  33
1 1 2  27.42  3.253  100
1 2 1  29.31  3.047  27
2 2 0  35.07  2.559  76
1 3 2  44.60  2.032  28
1 1 4  46.61  1.949  27

***

Record 9
Starting from DFT lattice parameters and positions (PBE), the powder diffraction line list of Ac5Si2Ag2 was simulated for CuKα.
Kinematic intensities with the Lorentz-polarization factor, no thermal factor.

Cell lengths 17.004, 8.319, 8.196 Å; angles 90.00, 90.00, 90.00 degrees
Space group Cmce (No. 64)
Unique sites:
Ac 0.000 0.000 0.000
Ac 0.133 0.179 0.326
Si 0.000 0.110 0.609
Ag 0.211 0.000 0.000

The 6 most intense peaks (10 to 90 degrees two-theta), in order of rising 2θ:
h k l  2θ (°)  d [Å]  I (rel.)
0 2 1  23.99  3.709  69
3 1 2  28.95  3.084  85
4 2 0  30.06  2.973  100
4 0 2  30.29  2.950  88
0 2 2  30.62  2.919  70
4 2 1  32.02  2.795  83

***

Record 10
Starting from DFT lattice parameters and positions (PBE), the powder diffraction line list of AcSi2Ag2 was simulated for CuKα.
Kinematic intensities with the Lorentz-polarization factor, no thermal factor.

Cell lengths 4.448, 4.448, 10.638 Å; angles 90.00, 90.00, 90.00 degrees
Space group I4/mmm (No. 139)
Unique sites:
Ac 0.000 0.000 0.000
Si 0.000 0.000 0.388
Ag 0.000 0.500 0.250

The 6 most intense peaks (10 to 90 degrees two-theta), in order of rising 2θ:
h k l  2θ (°)  d [Å]  I (rel.)
1 0 1  21.66  4.103  41
1 0 3  32.29  2.773  32
1 1 2  33.09  2.707  100
2 0 0  40.57  2.224  35
2 0 4  53.73  1.706  19
3 1 2  69.08  1.360  23

***

Record 11
Starting from DFT lattice parameters and positions (PBE), the powder diffraction line list of Ac4Si2Ag was simulated for CuKα.
Kinematic intensities with the Lorentz-polarization factor, no thermal factor.

Cell lengths 9.613, 9.613, 9.928 Å; angles 90.00, 90.00, 90.00 degrees
Space group I-42d (No. 122)
Unique sites:
Ac 0.072 0.181 0.317
Si 0.122 0.250 0.625
Ag 0.000 0.000 0.000

The 6 most intense peaks (10 to 90 degrees two-theta), in order of rising 2θ:
h k l  2θ (°)  d [Å]  I (rel.)
2 1 1  22.54  3.945  43
2 0 2  25.80  3.453  39
1 0 3  28.52  3.129  61
3 0 1  29.33  3.045  100
3 1 2  34.60  2.592  46
3 2 1  34.84  2.575  43

***

Record 12
Starting from DFT lattice parameters and positions (PBE), the powder diffraction line list of Ac2Zn3Si4Ag was simulated for CuKα.
Kinematic intensities with the Lorentz-polarization factor, no thermal factor.

Cell lengths 4.441, 4.441, 10.323 Å; angles 90.00, 90.00, 90.00 degrees
Space group P-4m2 (No. 115)
Unique sites:
Ac 0.000 0.500 0.244
Zn 0.000 0.500 0.877
Zn 0.500 0.500 0.500
Si 0.000 0.000 0.000
Si 0.000 0.500 0.638
Si 0.500 0.500 0.000
Ag 0.000 0.000 0.500

The 6 most intense peaks (10 to 90 degrees two-theta), in order of rising 2θ:
h k l  2θ (°)  d [Å]  I (rel.)
1 0 1  21.78  4.080  53
1 1 0  28.42  3.141  25
1 0 3  32.93  2.720  73
1 1 2  33.40  2.683  100
2 0 0  40.63  2.221  48
2 1 3  53.25  1.720  38

***

Record 13
Starting from DFT lattice parameters and positions (PBE), the powder diffraction line list of Ac2Sm3Ag4 was simulated for CuKα.
Kinematic intensities with the Lorentz-polarization factor, no thermal factor.

Cell lengths 8.102, 8.033, 8.793 Å; angles 90.00, 109.52, 90.00 degrees
Space group P2_1/c (No. 14)
Unique sites:
Ac 0.193 0.167 0.087
Sm 0.246 0.655 0.250
Sm 0.500 0.000 0.500
Ag 0.093 0.548 0.883
Ag 0.489 0.631 0.617

The 6 most intense peaks (10 to 90 degrees two-theta), in order of rising 2θ:
h k l  2θ (°)  d [Å]  I (rel.)
2 1 -2  28.23  3.161  41
1 2 1  28.83  3.097  36
1 1 2  29.90  2.988  73
2 2 -1  31.51  2.840  100
1 1 -3  32.53  2.752  71
3 0 0  35.24  2.547  78

***

Record 14
Starting from DFT lattice parameters and positions (PBE), the powder diffraction line list of Ac5SmAg6 was simulated for CuKα.
Kinematic intensities with the Lorentz-polarization factor, no thermal factor.

Cell lengths 5.570, 7.780, 8.805 Å; angles 90.00, 108.21, 90.00 degrees
Space group P2/m (No. 10)
Unique sites:
Ac 0.000 0.000 0.000
Ac 0.332 0.000 0.665
Ac 0.334 0.500 0.668
Sm 0.000 0.500 0.000
Ag 0.161 0.257 0.321
Ag 0.500 0.265 0.000

The 6 most intense peaks (10 to 90 degrees two-theta), in order of rising 2θ:
h k l  2θ (°)  d [Å]  I (rel.)
1 0 1  22.56  3.941  11
2 0 -1  32.12  2.787  51
1 2 1  32.34  2.768  100
3 2 0  57.34  1.607  19
3 2 -3  57.46  1.604  19
2 4 -1  57.81  1.595  19